This entry pairs a crystal structure of K2MnIrO4 with its simulated X-ray diffraction stick pattern. Radiation: Cu Kα, 1.54184 Å. Structure: a structure optimized by DFT (PBE+U).
No peak broadening, texture or thermal motion is included.

Most intense lines, 2θ = 10–90°, most intense first:
| 2θ/deg | I_rel | h k l |
| --- | --- | --- |
| 38.5 | 100 | 1 1 1 |
| 15.3 | 90 | 0 0 1 |
| 33.9 | 70 | 2 0 0 |
| 30.8 | 37 | 0 0 2 |
| 57.6 | 33 | 0 2 0 |
| 53.6 | 30 | 2 0 2 |
| 16.8 | 30 | 1 0 0 |
| 32.7 | 25 | 2 0 -1 |
| 66.7 | 24 | 3 1 1 |
| 19.0 | 23 | 1 0 -1 |

```
K2MnIrO4
1.0
5.5426 0.0000 0.0000
0.0000 3.2041 0.0000
-1.8515 0.0000 5.7994
K Mn Ir O
2 1 1 4
Direct
0.0000 0.0000 0.0000
0.5000 0.5000 0.0000
0.0000 0.5000 0.5000
0.5000 0.0000 0.5000
0.2153 0.0000 0.6666
0.2711 0.5000 0.3327
0.7289 0.5000 0.6673
0.7847 0.0000 0.3334
```